Simulated powder diffraction line list
Compound: Tc4NiPb
Radiation: Cu Ka
Structure: a crystal structure in Alexandria, relaxed with PBE
Neutral-atom scattering factors, no anomalous dispersion.

Principal peaks in the range 10 to 90 degrees two-theta, most intense first:
- 2θ 40.8, 2.214 Å, I = 100
- 2θ 34.6, 2.596 Å, I = 35
- 2θ 42.7, 2.119 Å, I = 32
- 2θ 66.1, 1.413 Å, I = 32
- 2θ 72.9, 1.298 Å, I = 24
- 2θ 61.9, 1.499 Å, I = 13
- 2θ 24.2, 3.671 Å, I = 12
- 2θ 88.3, 1.107 Å, I = 12
- 2θ 87.0, 1.120 Å, I = 11
- 2θ 21.0, 4.239 Å, I = 9

Structural model:
Lattice parameters (Å, degrees): 5.192 5.192 5.192 60.00 60.00 60.00
Fractional coordinates of all 6 atoms:
1 Tc 0.124 0.124 0.124
2 Tc 0.124 0.124 0.629
3 Tc 0.124 0.629 0.124
4 Tc 0.629 0.124 0.124
5 Ni 0.750 0.750 0.750
6 Pb 0.500 0.500 0.500